Starting from a PBE-relaxed structure, the powder X-ray diffraction pattern of La4Nb2Si was computed for Cu Kα (λ = 1.5418 Å).
Neutral-atom scattering factors, no anomalous dispersion.

Cell and atoms:
```
data_La4Nb2Si
_chemical_formula_sum 'La4 Nb2 Si1'
_cell_length_a 3.2964
_cell_length_b 3.2964
_cell_length_c 19.4294
_cell_angle_alpha 90.00
_cell_angle_beta 90.00
_cell_angle_gamma 120.00
_space_group_name_H-M_alt 'P -3 m 1'
_space_group_IT_number 164
_space_group_name_Hall '-P 3 2"'
loop_
_atom_site_label
_atom_site_type_symbol
_atom_site_fract_x
_atom_site_fract_y
_atom_site_fract_z
La1 La 0.3333 0.6667 0.3741
La2 La 0.3333 0.6667 0.9113
Nb1 Nb 0.3333 0.6667 0.2220
Si1 Si 0.0000 0.0000 0.5000
```

Most intense lines, 2θ from 10° to 80°, sorted by position:
18.3 deg, I 31; 31.3 deg, I 41; 31.7 deg, I 33; 32.3 deg, I 41; 32.7 deg, I 100; 36.5 deg, I 54; 42.2 deg, I 71; 55.8 deg, I 40